# 1
# Tc2HgAu
Simulated X-ray diffraction stick pattern, Cu Kα, 1.54184 Å. Input: the PBE geometry in Alexandria.
Kinematic intensities with the Lorentz-polarization factor, no thermal factor.

Main lines, by angle (2θ from 10° to 90°):
hkl 0 1 2, 37.56°, d = 2.395 Å, I 100; hkl 1 1 0, 38.84°, d = 2.319 Å, I 99; hkl 1 0 2, 43.06°, d = 2.101 Å, I 68; hkl 0 2 0, 47.00°, d = 1.933 Å, I 29; hkl 1 2 2, 65.62°, d = 1.423 Å, I 39; hkl 2 1 2, 76.91°, d = 1.240 Å, I 25

Unit cell a=2.8975 b=3.8669 c=6.1007 alpha=90.00 beta=90.00 gamma=90.00
Sites, in units of the cell vectors:
Tc  0.0000  0.0000  0.0000
Tc  0.5000  0.5000  0.1768
Hg  0.5000  0.5000  0.7152
Au  0.0000  0.0000  0.4475



# 2
# Pu2MnSi3Pt4
Simulated X-ray diffraction stick pattern, Cu Kα, 1.54184 Å. Input: the PBE geometry in Alexandria.
Kinematic intensities with the Lorentz-polarization factor, no thermal factor.

Main lines, by angle (2θ from 10° to 90°):
hkl 1 1 1, 31.55°, d = 2.835 Å, I 35; hkl 1 0 3, 33.88°, d = 2.646 Å, I 53; hkl 1 1 2, 35.08°, d = 2.558 Å, I 100; hkl 2 0 0, 43.38°, d = 2.086 Å, I 53; hkl 1 0 5, 49.48°, d = 1.842 Å, I 29; hkl 3 1 2, 74.21°, d = 1.278 Å, I 26

Unit cell a=4.1722 b=4.1722 c=10.2652 alpha=90.00 beta=90.00 gamma=90.00
Sites, in units of the cell vectors:
Pu  0.0000  0.5000  0.2470
Pu  0.5000  0.0000  0.7530
Mn  0.5000  0.5000  0.0000
Si  0.0000  0.0000  0.0000
Si  0.0000  0.5000  0.6310
Si  0.5000  0.0000  0.3690
Pt  0.0000  0.0000  0.5000
Pt  0.0000  0.5000  0.8618
Pt  0.5000  0.0000  0.1382
Pt  0.5000  0.5000  0.5000